This entry pairs a crystal structure of Sm3Sb2AsRh9 with its calculated powder XRD pattern. Radiation: Cu Kα (λ = 1.5418 Å). Structure: a cell relaxed with PBE.
No peak broadening, texture or thermal motion is included.

Structure:
```
data_Sm3Sb2AsRh9
_symmetry_space_group_name_H-M 'P -3 m 1'
_symmetry_Int_Tables_number 164
_symmetry_space_group_name_Hall '-P 3 2"'
_cell_length_a 6.7699
_cell_length_b 6.7699
_cell_length_c 8.3404
_cell_angle_alpha 90.00
_cell_angle_beta 90.00
_cell_angle_gamma 120.00
loop_
_atom_site_label
_atom_site_fract_x
_atom_site_fract_y
_atom_site_fract_z
Sm1 0.0000 0.0000 0.0000
Sm2 0.3333 0.6667 0.7356
Sb1 0.3333 0.6667 0.2090
As1 0.0000 0.0000 0.5000
Rh1 0.0000 0.5000 0.0000
Rh2 0.1321 0.2643 0.2787
```

Peak list (6 most intense, 2θ from 10° to 80°, in order of rising 2θ)
d (Å)	I_rel	hkl
8.340	288	0 0 1
3.385	318	1 1 0
2.766	559	0 2 1
2.398	1000	2 0 2
1.957	313	1 2 2
1.692	294	2 2 0